For Na3CrF6, a GGA+U-relaxed structure gives the computed XRD peak list in this record (Cu Kα (weighted mean of Kα1 and Kα2)).
Kinematic intensities with the Lorentz-polarization factor, no thermal factor.

Peak list (10 most intense, 5° ≤ 2θ ≤ 70°, in order of rising 2θ)
(0 0 2), 17.1°, d = 5.194 Å, intensity 32; (1 1 1), 18.9°, d = 4.692 Å, intensity 57; (0 2 0), 22.1°, d = 4.023 Å, intensity 20; (0 2 2), 28.1°, d = 3.181 Å, intensity 29; (2 0 2), 31.0°, d = 2.888 Å, intensity 100; (2 0 4), 43.5°, d = 2.080 Å, intensity 21; (0 4 0), 45.1°, d = 2.012 Å, intensity 32; (3 1 3), 48.6°, d = 1.873 Å, intensity 13; (2 2 4), 49.3°, d = 1.848 Å, intensity 38; (2 4 2), 55.7°, d = 1.651 Å, intensity 30

Unit cell a=6.949 b=8.046 c=10.387 alpha=90.00 beta=90.00 gamma=90.00
Space group Fmmm (No. 69)
Asymmetric unit:
Na1 0.000 0.000 0.000 x4
Na2 0.250 0.250 0.250 x8
Cr1 0.000 0.000 0.500 x4
F1 0.000 0.238 0.500 x8
F2 0.204 0.000 0.370 x16